BaCeO2F: computed powder diffractogram (Cu Kα X-rays), based on a GGA-PBE-relaxed structure.
Kinematic intensities with the Lorentz-polarization factor, no thermal factor.

Cell and atoms:
a b c (Å): 4.2575 4.2575 5.8712
angles (deg): 90.00 90.00 90.00
Space group P4mm (No. 99)
Inequivalent atoms, fractional coordinates:
Ba1 0.0000 0.0000 0.0000 (multiplicity 1)
Ce1 0.5000 0.5000 0.4012 (multiplicity 1)
O1 0.0000 0.5000 0.2626 (multiplicity 2)
F1 0.5000 0.5000 0.8056 (multiplicity 1)

Most intense lines, 2θ = 10–80°, by angle:
2θ/deg  d/Å  I/Imax  h k l
15.1  5.871  15  0 0 1
25.8  3.447  100  1 0 1
29.7  3.011  38  1 1 0
37.2  2.417  20  1 0 2
42.5  2.129  22  2 0 0
43.0  2.102  24  1 1 2
50.4  1.811  32  2 1 1
57.7  1.597  11  2 1 2

TaNb8Rh2: computed powder diffractogram (Cu Kα X-rays), based on a GGA-PBE-relaxed structure.
Kinematic intensities with the Lorentz-polarization factor, no thermal factor.

Cell and atoms:
a b c (Å): 6.3945 4.6218 7.0632
angles (deg): 90.00 103.52 90.00
Space group P2/m (No. 10)
Inequivalent atoms, fractional coordinates:
Ta1 0.0000 0.0000 0.0000 (multiplicity 1)
Nb1 0.0868 0.5000 0.3351 (multiplicity 2)
Nb2 0.1742 0.0000 0.6775 (multiplicity 2)
Nb3 0.2586 0.5000 0.9999 (multiplicity 2)
Nb4 0.3412 0.0000 0.3290 (multiplicity 2)
Rh1 0.4110 0.5000 0.6724 (multiplicity 2)

Most intense lines, 2θ = 10–80°, by angle:
2θ/deg  d/Å  I/Imax  h k l
39.0  2.311  35  0 2 0
39.4  2.287  100  0 0 3
39.6  2.274  66  2 1 1
56.6  1.626  23  0 2 3
70.9  1.329  11  2 3 -2
71.0  1.327  12  2 3 1
71.2  1.324  12  2 1 -5
71.7  1.316  16  2 1 4